Record 1
Structure and computed powder diffractogram of MgMo2N2O10 (a structure optimized by DFT (GGA+U); λ = 1.5418 Å (Cu Kα)).
Intensities are scaled so that the largest is 100.

Atomic structure:
a = 6.4327 Å, b = 15.5619 Å, c = 5.9124 Å
α = 90.00°, β = 117.16°, γ = 90.00°
Positions (direct):
Mg  0.0000  0.0000  0.0000
Mg  0.0000  0.5000  0.5000
Mo  0.2455  0.1148  0.6239
Mo  0.2455  0.3852  0.1239
Mo  0.7545  0.6148  0.8761
Mo  0.7545  0.8852  0.3761
N  0.4190  0.6332  0.2254
N  0.4190  0.8668  0.7254
N  0.5810  0.1332  0.2746
N  0.5810  0.3668  0.7746
O  0.0576  0.2002  0.5281
O  0.0576  0.2998  0.0281
O  0.1914  0.0500  0.3534
O  0.1914  0.4500  0.8534
O  0.2018  0.0554  0.8571
O  0.2018  0.4446  0.3571
O  0.2533  0.6257  0.6156
O  0.2533  0.8743  0.1156
O  0.4383  0.6751  0.7426
O  0.4383  0.8249  0.2426
O  0.5617  0.1751  0.7574
O  0.5617  0.3249  0.2574
O  0.7467  0.1257  0.8844
O  0.7467  0.3743  0.3844
O  0.7982  0.5554  0.6429
O  0.7982  0.9446  0.1429
O  0.8086  0.5500  0.1466
O  0.8086  0.9500  0.6466
O  0.9424  0.7002  0.9719
O  0.9424  0.7998  0.4719

Top 10 peaks for 2θ = 15–90°, in order of rising 2θ:
2θ/deg	I/Imax
16.50	40
17.82	28
20.40	100
22.86	31
23.14	44
24.11	32
28.42	17
30.15	42
30.23	27
38.24	20

---

Record 2
Structure and computed powder diffractogram of V4OF11 (a structure optimized by DFT (GGA+U); λ = 1.5418 Å (Cu Kα)).
Intensities are scaled so that the largest is 100.

Atomic structure:
a = 5.4686 Å, b = 5.4686 Å, c = 17.6936 Å
α = 101.24°, β = 101.24°, γ = 57.96°
Positions (direct):
V  0.0466  0.0466  0.1825
V  0.1985  0.1790  0.5631
V  0.3152  0.3065  0.9367
V  0.4420  0.4216  0.3109
V  0.5784  0.5580  0.6891
V  0.6935  0.6848  0.0633
V  0.8210  0.8015  0.4369
V  0.9534  0.9534  0.8175
O  0.0526  0.1862  0.8714
O  0.8138  0.9474  0.1286
F  0.0361  0.4122  0.4747
F  0.0538  0.6392  0.3484
F  0.0788  0.4622  0.0234
F  0.1033  0.6940  0.8998
F  0.1130  0.8870  0.5000
F  0.2848  0.4719  0.6247
F  0.2901  0.6652  0.2252
F  0.3060  0.8967  0.1002
F  0.3348  0.7099  0.7748
F  0.3429  0.1397  0.2464
F  0.3608  0.9462  0.6516
F  0.5281  0.7152  0.3753
F  0.5378  0.9212  0.9766
F  0.5637  0.1471  0.8509
F  0.5878  0.9639  0.5253
F  0.5975  0.4025  0.0000
F  0.6055  0.1909  0.3987
F  0.7846  0.1649  0.7255
F  0.8091  0.3945  0.6013
F  0.8351  0.2154  0.2745
F  0.8529  0.4363  0.1491
F  0.8603  0.6571  0.7536

Top 10 peaks for 2θ = 15–90°, in order of rising 2θ:
2θ/deg	I/Imax
23.38	100
23.62	50
32.78	22
39.36	10
39.53	10
39.72	9
47.80	22
48.33	10
53.10	25
53.44	12